[1]
For In2Te3, a crystal structure in Alexandria, relaxed with PBE gives the calculated powder diffraction line list in this record (Cu Kα).

```
data_In2Te3
_chemical_formula_sum 'In4 Te6'
_cell_length_a 4.4525
_cell_length_b 13.3711
_cell_length_c 6.3538
_cell_angle_alpha 90.00
_cell_angle_beta 90.00
_cell_angle_gamma 90.00
_symmetry_space_group_name_H-M 'I m m 2'
_symmetry_Int_Tables_number 44
loop_
_symmetry_equiv_pos_as_xyz
'x,y,z'
'-x,-y,z'
'-x,y,z'
'x,-y,z'
'x+1/2,y+1/2,z+1/2'
'-x+1/2,-y+1/2,z+1/2'
'-x+1/2,y+1/2,z+1/2'
'x+1/2,-y+1/2,z+1/2'
loop_
_atom_site_label
_atom_site_type_symbol
_atom_site_fract_x
_atom_site_fract_y
_atom_site_fract_z
In1 In 0.0000 0.1601 0.0000
Te1 Te 0.0000 0.0000 0.2764
Te2 Te 0.0000 0.3500 0.2101
```

Main lines, by intensity (5 to 70 degrees two-theta):
24.4°, I = 100; 40.3°, I = 45; 47.8°, I = 28; 40.5°, I = 24; 47.5°, I = 13; 36.5°, I = 12

=====

[2]
For In3Te5, a crystal structure in Alexandria, relaxed with PBE gives the calculated powder diffraction line list in this record (Cu Kα).

```
data_In3Te5
_chemical_formula_sum 'In6 Te10'
_cell_length_a 7.4332
_cell_length_b 7.9782
_cell_length_c 9.5103
_cell_angle_alpha 90.00
_cell_angle_beta 104.02
_cell_angle_gamma 90.00
_symmetry_space_group_name_H-M 'P 1 21/m 1'
_symmetry_Int_Tables_number 11
loop_
_symmetry_equiv_pos_as_xyz
'x,y,z'
'-x,-y,-z'
'-x,y+1/2,-z'
'x,-y+1/2,z'
loop_
_atom_site_label
_atom_site_type_symbol
_atom_site_fract_x
_atom_site_fract_y
_atom_site_fract_z
In1 In 0.0010 0.2500 0.4855
In2 In 0.2215 0.7500 0.0966
In3 In 0.4849 0.7500 0.5542
Te1 Te 0.1972 0.2500 0.0143
Te2 Te 0.2172 0.5076 0.3617
Te3 Te 0.2995 0.7500 0.7828
Te4 Te 0.3303 0.2500 0.7685
```

Main lines, by intensity (5 to 70 degrees two-theta):
28.7°, I = 100; 36.6°, I = 89; 22.3°, I = 83; 45.5°, I = 74; 30.2°, I = 64; 28.4°, I = 55